Diffraction record for MgFe6O11F. The powder diffractogram is simulated, not measured: it uses a DFT-relaxed cell (GGA+U, the Materials Project) and Cu Kα X-rays.

Cell and atoms:
a = 5.742 Å, b = 5.916 Å, c = 7.279 Å
α = 69.63°, β = 71.67°, γ = 80.61°
Positions (direct):
Mg1 0.000 0.000 0.000
Fe1 0.028 0.533 0.482
Fe2 0.059 0.486 0.986
Fe3 0.382 0.858 0.170
Fe4 0.423 0.798 0.642
Fe5 0.631 0.212 0.804
Fe6 0.636 0.258 0.321
O1 0.044 0.862 0.292
O2 0.138 0.610 0.694
O3 0.259 0.738 0.940
O4 0.296 0.186 0.985
O5 0.384 0.522 0.325
O6 0.466 0.983 0.355
O7 0.583 0.090 0.607
O8 0.680 0.543 0.637
O9 0.694 0.882 0.990
O10 0.785 0.305 0.029
O11 0.926 0.424 0.276
F1 0.019 0.176 0.686

The 10 most intense peaks (2θ from 10° to 90°), in order of rising 2θ:
d 3.768, intensity 100
d 3.345, intensity 86
d 2.550, intensity 17
d 2.530, intensity 26
d 2.514, intensity 22
d 2.502, intensity 19
d 2.495, intensity 19
d 1.814, intensity 22
d 1.715, intensity 17
d 1.705, intensity 17